# 1
Ce3PuO4: computed powder XRD pattern (λ = 1.5418 Å (Cu Kα)), based on a GGA-PBE-relaxed structure.
Neutral-atom scattering factors, no anomalous dispersion.

Largest 10 diffraction maxima, by angle, 2θ = 10–90°:
| two_theta | I/Imax | (hkl) |
| --- | --- | --- |
| 17.8 | 7 | 1 0 0 |
| 25.3 | 6 | 1 1 0 |
| 31.2 | 100 | 1 1 1 |
| 36.1 | 77 | 2 0 0 |
| 52.0 | 53 | 2 2 0 |
| 61.9 | 45 | 3 1 1 |
| 65.0 | 18 | 2 2 2 |
| 76.7 | 8 | 4 0 0 |
| 85.1 | 20 | 3 3 1 |
| 87.8 | 24 | 4 2 0 |

Structural model:
Cell lengths 4.970, 4.970, 4.970 Å; angles 90.00, 90.00, 90.00 degrees
Space group Pm-3m (No. 221)
Asymmetric unit:
Ce1 0.000 0.000 0.500
Pu1 0.500 0.500 0.500
O1 0.000 0.000 0.000
O2 0.000 0.500 0.500

# 2
Li3U3Se8: computed powder XRD pattern (λ = 1.5418 Å (Cu Kα)), based on a GGA-PBE-relaxed structure.
Neutral-atom scattering factors, no anomalous dispersion.

Largest 10 diffraction maxima, by angle, 2θ = 10–90°:
| two_theta | I/Imax | (hkl) |
| --- | --- | --- |
| 13.1 | 30 | 1 0 1 |
| 13.8 | 66 | 0 0 3 |
| 25.1 | 44 | 0 2 1 |
| 31.0 | 100 | 0 2 4 |
| 41.3 | 17 | 0 2 7 |
| 43.4 | 40 | 2 2 0 |
| 45.3 | 36 | 2 0 8 |
| 45.8 | 21 | 2 2 3 |
| 54.3 | 20 | 4 0 4 |
| 72.0 | 17 | 2 4 4 |

Structural model:
Cell lengths 8.3342, 8.3342, 19.2453 Å; angles 90.00, 90.00, 120.00 degrees
Space group R-3m (No. 166, hexagonal axes)
Asymmetric unit:
Li1 0.0000 0.0000 0.0000
Li2 0.0000 0.0000 0.3885
U1 0.0000 0.5000 0.5000
Se1 0.0000 0.0000 0.2472
Se2 0.0202 0.5101 0.7544

# 3
Li2PmUO6: computed powder XRD pattern (λ = 1.5418 Å (Cu Kα)), based on a GGA-PBE-relaxed structure.
Neutral-atom scattering factors, no anomalous dispersion.

Largest 10 diffraction maxima, by angle, 2θ = 10–90°:
| two_theta | I/Imax | (hkl) |
| --- | --- | --- |
| 21.8 | 56 | 0 0 2 |
| 22.3 | 100 | 1 1 -1 |
| 31.3 | 41 | 1 1 1 |
| 31.4 | 62 | 0 2 0 |
| 32.0 | 20 | 2 0 -2 |
| 38.6 | 21 | 0 2 2 |
| 45.5 | 18 | 2 2 -2 |
| 50.1 | 14 | 1 1 3 |
| 50.9 | 24 | 1 3 -1 |
| 55.9 | 15 | 1 3 1 |

Structural model:
Cell lengths 5.601, 5.680, 9.879 Å; angles 90.00, 124.24, 90.00 degrees
Space group P2_1/c (No. 14)
Asymmetric unit:
Li1 0.216 0.014 0.242
Pm1 0.000 0.000 0.500
U1 0.500 0.000 0.000
O1 0.141 0.100 0.769
O2 0.242 0.642 0.565
O3 0.448 0.179 0.580

# 4
SmLuCdIr: computed powder XRD pattern (λ = 1.5418 Å (Cu Kα)), based on a GGA-PBE-relaxed structure.
Neutral-atom scattering factors, no anomalous dispersion.

Largest 10 diffraction maxima, by angle, 2θ = 10–90°:
| two_theta | I/Imax | (hkl) |
| --- | --- | --- |
| 21.6 | 3 | 1 1 1 |
| 35.6 | 100 | 2 2 0 |
| 42.0 | 2 | 3 1 1 |
| 51.3 | 18 | 4 0 0 |
| 56.2 | 1 | 3 3 1 |
| 64.0 | 36 | 4 2 2 |
| 68.4 | 1 | 5 1 1 |
| 75.4 | 11 | 4 4 0 |
| 79.5 | 1 | 5 3 1 |
| 86.3 | 16 | 6 2 0 |

Structural model:
Cell lengths 7.129, 7.129, 7.129 Å; angles 90.00, 90.00, 90.00 degrees
Space group F-43m (No. 216)
Asymmetric unit:
Sm1 0.000 0.000 0.000
Lu1 0.000 0.000 0.500
Cd1 0.250 0.250 0.750
Ir1 0.250 0.250 0.250

# 5
Li2ZnCu7Ge2: computed powder XRD pattern (λ = 1.5418 Å (Cu Kα)), based on a GGA-PBE-relaxed structure.
Neutral-atom scattering factors, no anomalous dispersion.

Largest 10 diffraction maxima, by angle, 2θ = 10–90°:
| two_theta | I/Imax | (hkl) |
| --- | --- | --- |
| 24.0 | 26 | 1 1 0 |
| 35.2 | 17 | 0 2 1 |
| 37.7 | 23 | 0 2 2 |
| 41.4 | 58 | 2 0 -3 |
| 41.6 | 100 | 2 0 3 |
| 46.6 | 78 | 0 0 6 |
| 49.2 | 28 | 2 2 0 |
| 49.9 | 38 | 2 2 -1 |
| 77.0 | 12 | 2 2 7 |
| 86.9 | 17 | 2 4 -3 |

Structural model:
Cell lengths 5.244, 5.223, 11.708 Å; angles 90.00, 90.26, 90.00 degrees
Space group C2/m (No. 12)
Asymmetric unit:
Li1 0.001 0.000 0.319
Zn1 0.000 0.500 0.000
Cu1 0.000 0.000 0.000
Cu2 0.233 0.500 0.500
Cu3 0.250 0.250 0.157
Ge1 0.000 0.500 0.308

# 6
Nb3InH: computed powder XRD pattern (λ = 1.5418 Å (Cu Kα)), based on a GGA-PBE-relaxed structure.
Neutral-atom scattering factors, no anomalous dispersion.

Largest 10 diffraction maxima, by angle, 2θ = 10–90°:
| two_theta | I/Imax | (hkl) |
| --- | --- | --- |
| 36.9 | 100 | 1 1 2 |
| 37.8 | 24 | 0 2 0 |
| 38.4 | 22 | 4 0 0 |
| 51.5 | 10 | 2 0 -4 |
| 54.9 | 15 | 4 2 0 |
| 65.6 | 9 | 2 2 -4 |
| 66.0 | 9 | 6 0 -4 |
| 67.7 | 16 | 1 3 2 |
| 68.4 | 14 | 7 1 -2 |
| 78.6 | 10 | 6 2 -4 |

Structural model:
Cell lengths 10.036, 4.762, 7.098 Å; angles 90.00, 110.71, 90.00 degrees
Space group Cc (No. 9)
Asymmetric unit:
Nb1 0.000 0.000 0.000
Nb2 0.245 0.002 0.372
Nb3 0.471 0.012 0.735
In1 0.237 0.500 0.118
H1 0.050 0.137 0.775

# 7
SmY7Er5: computed powder XRD pattern (λ = 1.5418 Å (Cu Kα)), based on a GGA-PBE-relaxed structure.
Neutral-atom scattering factors, no anomalous dispersion.

Largest 10 diffraction maxima, by angle, 2θ = 10–90°:
| two_theta | I/Imax | (hkl) |
| --- | --- | --- |
| 15.3 | 40 | 0 0 2 |
| 31.0 | 100 | 0 0 4 |
| 31.3 | 68 | 2 2 0 |
| 31.6 | 60 | 1 3 2 |
| 32.1 | 28 | 0 4 0 |
| 35.0 | 93 | 2 2 2 |
| 35.8 | 33 | 0 4 2 |
| 44.6 | 32 | 2 2 4 |
| 57.7 | 34 | 2 2 6 |
| 66.0 | 25 | 2 6 4 |

Structural model:
Cell lengths 6.669, 11.154, 11.558 Å; angles 90.00, 90.00, 90.00 degrees
Space group Imm2 (No. 44)
Asymmetric unit:
Sm1 0.000 0.000 0.000
Y1 0.000 0.000 0.303
Y2 0.000 0.000 0.614
Y3 0.000 0.326 0.058
Y4 0.000 0.331 0.560
Y5 0.000 0.500 0.306
Er1 0.000 0.500 0.814
Er2 0.234 0.229 0.807

# 8
TeHPb: computed powder XRD pattern (λ = 1.5418 Å (Cu Kα)), based on a GGA-PBE-relaxed structure.
Neutral-atom scattering factors, no anomalous dispersion.

Largest 10 diffraction maxima, by angle, 2θ = 10–90°:
| two_theta | I/Imax | (hkl) |
| --- | --- | --- |
| 20.0 | 20 | 0 0 8 |
| 27.4 | 13 | 1 1 1 |
| 27.8 | 100 | 1 1 2 |
| 30.1 | 29 | 0 0 12 |
| 37.4 | 41 | 1 1 10 |
| 39.0 | 32 | 2 0 0 |
| 40.4 | 10 | 2 0 4 |
| 45.2 | 23 | 1 1 14 |
| 50.1 | 19 | 2 0 12 |
| 64.3 | 10 | 1 1 22 |

Structural model:
Cell lengths 4.618, 4.618, 35.583 Å; angles 90.00, 90.00, 90.00 degrees
Space group P4_122 (No. 91)
Asymmetric unit:
Te1 0.200 0.300 0.077
H1 0.200 0.432 0.256
Pb1 0.202 0.296 0.163

# 9
Ca5YPd6: computed powder XRD pattern (λ = 1.5418 Å (Cu Kα)), based on a GGA-PBE-relaxed structure.
Neutral-atom scattering factors, no anomalous dispersion.

Largest 10 diffraction maxima, by angle, 2θ = 10–90°:
| two_theta | I/Imax | (hkl) |
| --- | --- | --- |
| 25.0 | 17 | 0 2 0 |
| 25.2 | 17 | 1 0 1 |
| 35.8 | 100 | 1 2 1 |
| 35.9 | 99 | 1 2 -2 |
| 36.1 | 98 | 2 0 -1 |
| 51.3 | 17 | 0 4 0 |
| 51.8 | 17 | 2 0 2 |
| 64.3 | 33 | 2 4 -1 |
| 64.7 | 33 | 3 2 0 |
| 64.9 | 32 | 3 2 -3 |

Structural model:
Cell lengths 4.975, 7.123, 7.850 Å; angles 90.00, 108.10, 90.00 degrees
Space group P2/m (No. 10)
Asymmetric unit:
Ca1 0.000 0.000 0.000
Ca2 0.330 0.500 0.660
Ca3 0.334 0.000 0.668
Y1 0.000 0.500 0.000
Pd1 0.160 0.254 0.322
Pd2 0.500 0.266 0.000

# 10
La4Pr5Pb: computed powder XRD pattern (λ = 1.5418 Å (Cu Kα)), based on a GGA-PBE-relaxed structure.
Neutral-atom scattering factors, no anomalous dispersion.

Largest 10 diffraction maxima, by angle, 2θ = 10–90°:
| two_theta | I/Imax | (hkl) |
| --- | --- | --- |
| 11.5 | 18 | 1 1 0 |
| 28.4 | 100 | 3 0 1 |
| 30.8 | 13 | 1 1 2 |
| 33.0 | 51 | 2 0 2 |
| 35.0 | 39 | 3 3 0 |
| 47.3 | 15 | 4 2 2 |
| 50.4 | 28 | 6 0 0 |
| 57.5 | 17 | 5 3 2 |
| 58.9 | 19 | 0 0 4 |
| 61.5 | 20 | 7 0 1 |

Structural model:
Cell lengths 10.872, 10.872, 6.273 Å; angles 90.00, 90.00, 90.00 degrees
Space group I4mm (No. 107)
Asymmetric unit:
La1 0.000 0.306 0.000
Pr1 0.000 0.000 0.225
Pr2 0.188 0.188 0.494
Pb1 0.000 0.000 0.740

# 11
Ba4Pa3CuN8: computed powder XRD pattern (λ = 1.5418 Å (Cu Kα)), based on a GGA-PBE-relaxed structure.
Neutral-atom scattering factors, no anomalous dispersion.

Largest 10 diffraction maxima, by angle, 2θ = 10–90°:
| two_theta | I/Imax | (hkl) |
| --- | --- | --- |
| 28.2 | 43 | 0 0 2 |
| 29.8 | 100 | 2 2 0 |
| 33.9 | 33 | 4 0 0 |
| 34.2 | 64 | 2 2 -2 |
| 47.9 | 35 | 2 2 2 |
| 50.0 | 22 | 6 2 -2 |
| 56.6 | 13 | 2 2 -4 |
| 58.2 | 17 | 0 0 4 |
| 58.4 | 11 | 6 2 -4 |
| 62.0 | 11 | 4 4 0 |

Structural model:
Cell lengths 12.670, 7.269, 7.598 Å; angles 90.00, 123.51, 90.00 degrees
Space group C2/m (No. 12)
Asymmetric unit:
Ba1 0.000 0.000 0.000
Ba2 0.000 0.500 0.000
Ba3 0.250 0.250 0.000
Pa1 0.000 0.000 0.500
Pa2 0.250 0.250 0.500
Cu1 0.000 0.500 0.500
N1 0.030 0.224 0.314
N2 0.229 0.000 0.688
N3 0.249 0.500 0.687

# 12
TmPa4O10: computed powder XRD pattern (λ = 1.5418 Å (Cu Kα)), based on a GGA-PBE-relaxed structure.
Neutral-atom scattering factors, no anomalous dispersion.

Largest 10 diffraction maxima, by angle, 2θ = 10–90°:
| two_theta | I/Imax | (hkl) |
| --- | --- | --- |
| 28.4 | 100 | 0 1 5 |
| 28.7 | 32 | 0 0 15 |
| 33.0 | 48 | 1 0 10 |
| 47.1 | 33 | 1 1 0 |
| 47.6 | 32 | 0 1 20 |
| 55.9 | 16 | 2 0 5 |
| 56.1 | 30 | 1 1 15 |
| 56.5 | 14 | 1 0 25 |
| 76.1 | 13 | 1 2 5 |
| 87.9 | 11 | 1 2 20 |

Structural model:
Cell lengths 3.8581, 3.8581, 46.6185 Å; angles 90.00, 90.00, 120.00 degrees
Space group R-3m (No. 166, hexagonal axes)
Asymmetric unit:
Tm1 0.0000 0.0000 0.0000
Pa1 0.0000 0.0000 0.2005
Pa2 0.0000 0.0000 0.3978
O1 0.0000 0.0000 0.0502
O2 0.0000 0.0000 0.1496
O3 0.0000 0.0000 0.2511
O4 0.0000 0.0000 0.3511
O5 0.0000 0.0000 0.4494

# 13
Li3C: computed powder XRD pattern (λ = 1.5418 Å (Cu Kα)), based on a GGA-PBE-relaxed structure.
Neutral-atom scattering factors, no anomalous dispersion.

Largest 10 diffraction maxima, by angle, 2θ = 10–90°:
| two_theta | I/Imax | (hkl) |
| --- | --- | --- |
| 21.8 | 66 | 0 0 1 |
| 24.4 | 19 | 0 1 0 |
| 30.6 | 25 | 1 0 0 |
| 31.8 | 17 | 1 0 -1 |
| 40.5 | 100 | 1 1 -1 |
| 43.2 | 54 | 1 0 1 |
| 50.0 | 33 | 0 2 0 |
| 51.3 | 48 | 0 1 2 |
| 52.7 | 17 | 1 1 -2 |
| 68.2 | 23 | 1 2 1 |

Structural model:
Cell lengths 3.066, 3.648, 4.280 Å; angles 90.00, 107.65, 90.00 degrees
Space group P2/m (No. 10)
Asymmetric unit:
Li1 0.000 0.000 0.000
Li2 0.321 0.500 0.689
C1 0.500 0.000 0.500